The following is a simulated powder XRD pattern of Cu2I6Cl. It was derived from a crystal structure in Alexandria, relaxed with GGA-PBE, using λ = 1.5418 Å (Cu Kα).
Intensities are scaled so that the largest is 100.

Atomic structure:
```
data_Cu2I6Cl
_chemical_formula_sum 'Cu8 I24 Cl4'
_cell_length_a 14.1079
_cell_length_b 14.7645
_cell_length_c 7.6294
_cell_angle_alpha 90.00
_cell_angle_beta 91.44
_cell_angle_gamma 90.00
_symmetry_space_group_name_H-M 'C 1 2/c 1'
_symmetry_Int_Tables_number 15
_symmetry_space_group_name_Hall '-C 2yc'
loop_
_atom_site_label
_atom_site_fract_x
_atom_site_fract_y
_atom_site_fract_z
_atom_site_occupancy
Cu1 0.2426 0.0677 0.2316 1
I1 0.0842 0.4023 0.6472 1
I2 0.1644 0.2080 0.0754 1
I3 0.2064 0.0777 0.5618 1
Cl1 0.0000 0.2178 0.2500 1
```

Most intense lines, 2θ = 5–70°, in order of falling intensity:
2θ (°)  d_spacing  I (rel.)  (hkl)
22.49  3.954  100  1 3 1
12.55  7.052  40  2 0 0
16.71  5.304  36  0 2 1
44.91  2.018  34  3 3 3
26.86  3.320  29  2 0 2
30.42  2.939  23  3 1 -2
32.31  2.771  19  5 1 0
19.82  4.480  16  3 1 0
34.17  2.624  15  5 1 -1
37.39  2.405  14  4 4 1